The following is a calculated powder diffraction line list of YPaCrO6. It was derived from a cell relaxed with GGA+U, using a wavelength of 1.5418 Å.

Crystal structure
```
YPaCrO6
1.0
5.3615 0.0000 0.0000
-2.6807 4.6432 0.0000
0.0000 0.0000 4.7931
Y Pa Cr O
1 1 1 6
Cartesian
0.0000 0.0000 0.0000
2.6807 1.5477 2.3965
0.0000 3.0954 0.0000
-0.8848 1.7363 1.1238
-1.6195 3.0087 3.6693
0.8848 1.7363 3.6693
-0.7347 4.5413 1.1238
1.6195 3.0087 1.1238
0.7346 4.5413 3.6693
```

Largest 8 diffraction maxima, most intense first, 5° ≤ 2θ ≤ 70°:
2θ (°), Rel. int., hkl
26.73, 1000, 1 0 1
33.43, 325, 1 1 0
51.12, 317, 2 -1 2
43.30, 277, 2 0 1
19.11, 273, 1 0 0
55.78, 265, 2 1 1
59.75, 113, 3 0 0
61.37, 99, 1 0 3